# 1
LaMnO3: theoretical powder XRD pattern (Cu Kα (weighted mean of Kα1 and Kα2)), based on a structure optimized by DFT (PBE+U).
Lines closer than 0.1° are merged.

Most intense lines, 2θ = 15–90°, by intensity:
2.806 Å, I = 100; 2.783 Å, I = 56; 1.611 Å, I = 43; 1.968 Å, I = 30; 2.284 Å, I = 28; 1.624 Å, I = 22; 1.403 Å, I = 19; 2.000 Å, I = 18; 3.936 Å, I = 17; 1.245 Å, I = 10

Crystal structure
```
10
Lattice="5.566 0.000 0.000 0.000 5.566 0.000 0.000 0.000 4.000" Properties=species:S:1:pos:R:3 pbc="T T T"
La 0.000 2.783 0.000
La 2.783 0.000 0.000
Mn 0.000 0.000 2.000
Mn 2.783 2.783 2.000
O 0.000 0.000 0.000
O 1.061 1.685 2.000
O 1.685 4.504 2.000
O 2.783 2.783 0.000
O 3.881 1.061 2.000
O 4.504 3.881 2.000
```

# 2
La5MnOs3O16: theoretical powder XRD pattern (Cu Kα (weighted mean of Kα1 and Kα2)), based on a structure optimized by DFT (PBE+U).
Lines closer than 0.1° are merged.

Most intense lines, 2θ = 15–90°, by intensity:
2.853 Å, I = 100; 3.180 Å, I = 86; 2.999 Å, I = 64; 2.036 Å, I = 56; 1.646 Å, I = 35; 4.831 Å, I = 32; 2.723 Å, I = 29; 1.998 Å, I = 24; 1.685 Å, I = 24; 5.136 Å, I = 22

Crystal structure
```
25
Lattice="5.718 0.000 0.000 -0.082 5.725 0.000 -0.703 -0.746 10.168" Properties=species:S:1:pos:R:3 pbc="T T T"
La 0.000 0.000 0.000
La -0.361 2.362 7.224
La 2.524 5.337 3.002
La 2.409 -0.358 7.166
La 5.293 2.617 2.944
Mn 2.466 2.490 5.084
Os -0.352 -0.373 5.084
Os 2.457 2.481 1.085
Os 2.475 2.498 9.083
O -0.022 -0.049 6.991
O 0.628 1.335 4.717
O 1.054 3.853 1.338
O 1.181 1.143 1.778
O 1.036 3.829 8.828
O 1.304 4.347 5.032
O 1.129 1.073 9.482
O 2.077 2.092 7.150
O 2.856 2.887 3.018
O 3.804 3.906 0.686
O 3.628 0.632 5.136
O 3.897 1.150 1.340
O 3.751 3.836 8.390
O 3.878 1.126 8.831
O 4.304 3.644 5.452
O 4.954 5.028 3.177
```

# 3
La2MnPbO9: theoretical powder XRD pattern (Cu Kα (weighted mean of Kα1 and Kα2)), based on a structure optimized by DFT (PBE+U).
Lines closer than 0.1° are merged.

Most intense lines, 2θ = 15–90°, by intensity:
3.804 Å, I = 100; 2.820 Å, I = 69; 2.132 Å, I = 63; 2.576 Å, I = 55; 1.902 Å, I = 38; 1.643 Å, I = 28; 1.487 Å, I = 27; 1.530 Å, I = 23; 1.102 Å, I = 16; 1.171 Å, I = 15

Crystal structure
```
13
Lattice="5.152 0.000 0.000 -2.576 4.462 0.000 0.000 0.000 7.278" Properties=species:S:1:pos:R:3 pbc="T T T"
La 0.000 0.000 0.000
La 0.000 2.974 5.088
Mn 0.000 2.974 1.385
Pb 2.576 1.487 3.229
O -1.233 2.262 0.132
O 0.000 1.515 2.563
O -1.264 3.704 2.563
O 1.248 0.720 5.055
O 1.233 2.262 0.132
O 0.000 4.398 0.132
O 1.264 3.704 2.563
O 3.904 0.720 5.055
O 2.576 3.021 5.055
```

# 4
RbLaMnWO6: theoretical powder XRD pattern (Cu Kα (weighted mean of Kα1 and Kα2)), based on a structure optimized by DFT (PBE+U).
Lines closer than 0.1° are merged.

Most intense lines, 2θ = 15–90°, by intensity:
2.927 Å, I = 100; 2.909 Å, I = 99; 2.043 Å, I = 55; 4.757 Å, I = 48; 2.895 Å, I = 47; 2.885 Å, I = 47; 1.677 Å, I = 38; 2.084 Å, I = 28; 1.667 Å, I = 21; 1.691 Å, I = 21

Crystal structure
```
20
Lattice="5.770 0.000 0.000 0.000 5.789 0.000 -0.070 0.000 8.335" Properties=species:S:1:pos:R:3 pbc="T T T"
Rb 1.405 0.000 0.006
Rb 4.295 2.895 8.329
La 1.378 0.236 4.167
La 4.322 3.131 4.168
Mn 1.418 2.966 6.291
Mn 4.282 0.071 2.044
W 1.384 2.937 2.129
W 4.316 0.042 6.206
O 0.029 1.260 6.198
O 0.216 1.386 2.115
O 1.012 2.816 4.141
O 1.615 2.943 0.261
O 2.649 4.405 2.561
O 2.806 4.584 5.773
O 2.894 1.690 2.563
O 3.051 1.511 5.774
O 4.086 0.048 8.074
O 4.688 5.711 4.195
O 5.484 4.280 6.221
O 5.671 4.154 2.137
```

# 5
Sr3La3Mn3RuO14: theoretical powder XRD pattern (Cu Kα (weighted mean of Kα1 and Kα2)), based on a structure optimized by DFT (PBE+U).
Lines closer than 0.1° are merged.

Most intense lines, 2θ = 15–90°, by intensity:
2.853 Å, I = 100; 2.799 Å, I = 65; 1.979 Å, I = 44; 1.626 Å, I = 38; 2.169 Å, I = 22; 1.658 Å, I = 15; 1.426 Å, I = 14; 2.058 Å, I = 13; 1.157 Å, I = 12; 3.888 Å, I = 11

Crystal structure
```
24
Lattice="5.595 0.000 0.000 0.000 2.801 10.288 0.000 -2.801 10.288" Properties=species:S:1:pos:R:3 pbc="T T T"
Sr 0.000 0.000 0.000
Sr 0.000 0.000 3.745
Sr 2.797 0.000 10.245
La 0.000 0.000 7.471
La 2.797 0.000 13.958
La 2.797 0.000 17.799
Mn 0.000 0.000 16.062
Mn 2.797 0.000 1.671
Mn 2.797 0.000 5.761
Ru 0.000 0.000 11.976
O 0.000 0.000 9.893
O 0.000 0.000 13.998
O 0.000 0.000 18.188
O 1.412 -1.344 12.123
O 1.412 1.344 12.123
O 1.417 -1.397 5.836
O 1.417 1.397 5.836
O 2.797 0.000 3.841
O 2.797 0.000 7.824
O 2.797 0.000 20.107
O 4.177 -1.397 5.836
O 4.177 1.397 5.836
O 4.183 -1.344 12.123
O 4.183 1.344 12.123
```

# 6
SrLaMnRuO6: theoretical powder XRD pattern (Cu Kα (weighted mean of Kα1 and Kα2)), based on a structure optimized by DFT (PBE+U).
Lines closer than 0.1° are merged.

Most intense lines, 2θ = 15–90°, by intensity:
2.857 Å, I = 100; 2.027 Å, I = 25; 2.833 Å, I = 25; 2.901 Å, I = 23; 1.642 Å, I = 17; 1.639 Å, I = 17; 2.014 Å, I = 15; 1.666 Å, I = 13; 1.654 Å, I = 10; 1.427 Å, I = 9

Crystal structure
```
20
Lattice="5.665 0.000 0.000 0.000 5.802 0.000 -5.646 0.000 8.055" Properties=species:S:1:pos:R:3 pbc="T T T"
Sr 0.000 1.200 0.000
Sr -2.823 4.602 4.027
La -0.106 1.748 4.040
La 2.717 4.054 0.013
Mn 2.785 1.417 2.016
Mn -0.037 4.385 6.043
Ru -2.869 1.448 6.038
Ru -0.047 4.354 2.010
O -4.434 2.630 6.350
O -1.611 3.172 2.323
O -1.105 0.208 2.400
O -3.928 5.594 6.427
O 1.100 2.763 1.649
O -1.723 3.039 5.677
O -1.247 0.341 5.669
O 1.576 5.461 1.642
O -2.444 1.621 7.964
O 0.379 4.181 3.936
O 2.265 1.329 4.111
O 5.088 4.473 0.084
```